No. 1
V3OF11: simulated X-ray diffraction stick pattern (Cu Kα X-rays), based on a crystal structure in the Materials Project, relaxed with PBE+U.
Peak positions follow from Bragg's law for the DFT cell and can differ from measured ones.

Peak list (10 most intense, 15 to 90 degrees two-theta, sorted by position)
| d [Å] | 2theta | Rel. int. |
| --- | --- | --- |
| 4.861 | 18.25 | 56.0 |
| 3.529 | 25.24 | 100.0 |
| 2.729 | 32.82 | 9.2 |
| 2.430 | 36.99 | 8.3 |
| 2.300 | 39.17 | 10.9 |
| 2.206 | 40.91 | 7.4 |
| 1.893 | 48.05 | 16.4 |
| 1.727 | 53.03 | 9.5 |
| 1.695 | 54.12 | 7.5 |
| 1.645 | 55.90 | 7.4 |

Crystal structure
```
data_V3OF11
_space_group_name_H-M_alt 'P 1 21 1'
_space_group_IT_number 4
_cell_length_a 5.4583
_cell_length_b 5.2581
_cell_length_c 14.8194
_cell_angle_alpha 90.00
_cell_angle_beta 100.27
_cell_angle_gamma 90.00
loop_
_space_group_symop_operation_xyz
'x,y,z'
'-x,y+1/2,-z'
loop_
_atom_site_label
_atom_site_type_symbol
_atom_site_fract_x
_atom_site_fract_y
_atom_site_fract_z
V1 V 0.0432 0.0000 0.1635
V2 V 0.2501 0.4763 0.5001
V3 V 0.4276 0.9833 0.8327
O1 O 0.2085 0.6807 0.8558
F1 F 0.0514 0.8820 0.0519
F2 F 0.0616 0.7793 0.5248
F3 F 0.1124 0.1883 0.8091
F4 F 0.1443 0.0488 0.2823
F5 F 0.2083 0.5615 0.3829
F6 F 0.2727 0.2668 0.1415
F7 F 0.2893 0.3886 0.6169
F8 F 0.3689 0.8878 0.7163
F9 F 0.3894 0.7697 0.1900
F10 F 0.4389 0.1728 0.4753
F11 F 0.4545 0.0532 0.9510
```



No. 2
CaLaMn2O6: simulated X-ray diffraction stick pattern (Cu Kα X-rays), based on a crystal structure in the Materials Project, relaxed with PBE+U.
Peak positions follow from Bragg's law for the DFT cell and can differ from measured ones.

Peak list (10 most intense, 15 to 90 degrees two-theta, sorted by position)
| d [Å] | 2theta | Rel. int. |
| --- | --- | --- |
| 4.514 | 19.67 | 21.5 |
| 4.486 | 19.79 | 44.1 |
| 4.452 | 19.95 | 22.1 |
| 2.790 | 32.09 | 100.0 |
| 2.760 | 32.43 | 96.5 |
| 2.691 | 33.29 | 91.8 |
| 2.027 | 44.70 | 34.8 |
| 1.907 | 47.69 | 27.3 |
| 1.899 | 47.91 | 30.7 |
| 1.570 | 58.82 | 21.3 |

Crystal structure
```
data_CaLaMn2O6
_space_group_name_H-M_alt 'P 1'
_space_group_IT_number 1
_cell_length_a 5.5373
_cell_length_b 5.5972
_cell_length_c 7.5951
_cell_angle_alpha 89.61
_cell_angle_beta 89.51
_cell_angle_gamma 86.49
loop_
_space_group_symop_operation_xyz
'x,y,z'
loop_
_atom_site_label
_atom_site_type_symbol
_atom_site_fract_x
_atom_site_fract_y
_atom_site_fract_z
Ca1 Ca 0.0000 0.0000 0.0000
Ca2 Ca 0.4927 0.5921 0.4985
La1 La 0.4851 0.5094 0.9982
La2 La 0.9770 0.0799 0.4983
Mn1 Mn 0.4864 0.0443 0.2474
Mn2 Mn 0.4860 0.0451 0.7487
Mn3 Mn 0.9874 0.5461 0.2494
Mn4 Mn 0.9890 0.5457 0.7483
O1 O 0.0688 0.5239 0.4979
O2 O 0.1948 0.2576 0.2051
O3 O 0.1974 0.2531 0.7928
O4 O 0.2549 0.7433 0.2127
O5 O 0.2893 0.7787 0.7877
O6 O 0.4127 0.0250 0.4996
O7 O 0.5712 0.0608 0.9966
O8 O 0.6761 0.3164 0.7058
O9 O 0.7170 0.3527 0.2899
O10 O 0.7695 0.8303 0.7067
O11 O 0.7771 0.8322 0.2875
O12 O 0.9145 0.5700 0.0000
```



No. 3
Li2VF5: simulated X-ray diffraction stick pattern (Cu Kα X-rays), based on a crystal structure in the Materials Project, relaxed with PBE+U.
Peak positions follow from Bragg's law for the DFT cell and can differ from measured ones.

Peak list (10 most intense, 15 to 90 degrees two-theta, sorted by position)
| d [Å] | 2theta | Rel. int. |
| --- | --- | --- |
| 4.902 | 18.10 | 25.8 |
| 4.508 | 19.69 | 78.8 |
| 4.154 | 21.39 | 100.0 |
| 2.980 | 29.98 | 83.0 |
| 2.718 | 32.96 | 18.4 |
| 2.306 | 39.06 | 29.4 |
| 2.288 | 39.38 | 32.2 |
| 1.827 | 49.91 | 41.9 |
| 1.794 | 50.90 | 48.0 |
| 1.728 | 52.99 | 27.2 |

Crystal structure
```
data_Li2VF5
_space_group_name_H-M_alt 'P 1 21/c 1'
_space_group_IT_number 14
_cell_length_a 7.1450
_cell_length_b 5.1740
_cell_length_c 10.0550
_cell_angle_alpha 90.00
_cell_angle_beta 102.83
_cell_angle_gamma 90.00
loop_
_space_group_symop_operation_xyz
'x,y,z'
'-x,-y,-z'
'-x,y+1/2,-z+1/2'
'x,-y+1/2,z+1/2'
loop_
_atom_site_label
_atom_site_type_symbol
_atom_site_fract_x
_atom_site_fract_y
_atom_site_fract_z
Li1 Li 0.0194 0.2488 0.4318
Li2 Li 0.3656 0.7409 0.0035
V1 V 0.3357 0.2322 0.2006
F1 F 0.1131 0.2223 0.2726
F2 F 0.1905 0.5062 0.5550
F3 F 0.1915 0.0116 0.5652
F4 F 0.4468 0.5299 0.8579
F5 F 0.4503 0.0134 0.8573
```